# Na3Si2Ge2PO12
Calculated powder X-ray diffraction pattern, Cu Kα, 1.54184 Å. Input: a crystal structure in the Materials Project, relaxed with PBE.

Cell and atoms:
```
40
Lattice="7.518 -4.335 0.000 7.518 4.335 0.000 -4.977 0.000 7.203" Properties=species:S:1:pos:R:3 pbc="T T T"
Na 5.030 3.760 3.601
Na 7.282 2.188 1.776
Na 4.540 0.594 7.183
Na 7.029 -0.594 3.582
Na 4.793 -2.188 5.378
Na 7.518 -3.760 0.000
Si 0.134 0.902 3.568
Si -2.355 -0.902 7.169
Si 9.771 0.359 3.569
Si 7.283 -0.359 7.170
Ge 2.230 2.224 5.805
Ge 7.312 2.202 4.951
Ge 4.718 -2.224 2.203
Ge 9.801 -2.202 1.350
P 4.390 0.892 3.579
P 1.901 -0.892 7.180
O 1.004 1.130 2.209
O 1.122 3.079 7.049
O 2.393 0.713 0.097
O 0.785 1.675 4.841
O 3.785 1.623 2.361
O -0.095 -0.713 3.698
O 3.667 2.712 7.033
O -1.485 -1.130 5.810
O 3.559 1.098 4.866
O 5.804 1.544 3.671
O 2.099 0.630 7.033
O 3.274 -1.675 1.239
O 4.588 -0.630 3.432
O 1.296 -1.623 5.962
O 6.048 -1.098 1.264
O 8.404 1.241 3.736
O 6.958 0.581 5.862
O 8.292 -1.544 0.070
O 3.611 -3.079 3.448
O 9.446 -0.581 2.260
O 12.624 0.558 1.278
O 10.892 -1.241 0.134
O 6.156 -2.712 3.432
O 10.135 -0.558 4.880
```

Principal peaks in the range 10° ≤ 2θ ≤ 90°, low angle first:
14.38°, I 323
20.26°, I 1000
20.47°, I 954
23.95°, I 526
28.99°, I 364
32.28°, I 961
32.37°, I 422
35.85°, I 711